The following is a theoretical X-ray diffraction stick pattern of Tl2Te2Se. It was derived from a DFT-relaxed cell (GGA-PBE, Alexandria), using Cu Kα X-rays.

The 12 most intense peaks (15 to 90 degrees two-theta), sorted by position:
two_theta, I/Imax
21.54, 24
24.91, 17
29.99, 53
30.22, 19
30.40, 62
30.53, 100
33.42, 25
34.54, 21
36.14, 40
47.66, 35
53.67, 22
61.52, 23

Structural model:
```
data_Tl2Te2Se
_symmetry_space_group_name_H-M 'P 1'
_symmetry_Int_Tables_number 1
_cell_length_a 6.8393
_cell_length_b 6.8393
_cell_length_c 10.9717
_cell_angle_alpha 101.33
_cell_angle_beta 101.33
_cell_angle_gamma 42.62
loop_
_symmetry_equiv_pos_as_xyz
'x,y,z'
loop_
_atom_site_label
_atom_site_type_symbol
_atom_site_fract_x
_atom_site_fract_y
_atom_site_fract_z
Tl1 Tl 0.0399 0.0399 0.3397
Tl2 Tl 0.1667 0.1667 0.0805
Tl3 Tl 0.8333 0.8333 0.9195
Tl4 Tl 0.9601 0.9601 0.6603
Te1 Te 0.3430 0.3430 0.3843
Te2 Te 0.4531 0.4531 0.1112
Te3 Te 0.5469 0.5469 0.8888
Te4 Te 0.6570 0.6570 0.6157
Se1 Se 0.2384 0.2384 0.6627
Se2 Se 0.7616 0.7616 0.3373
```